Structure and computed powder XRD pattern of Tb6Dy3Y2In (a crystal structure in Alexandria, relaxed with GGA-PBE; Cu Kα X-rays).

Cell and atoms:
```
Tb6Dy3Y2In
1.0
3.049 -5.285 0.000
3.049 5.285 0.000
-2.042 0.000 11.495
Tb Dy Y In
6 3 2 1
Direct
0.082 0.410 0.748
0.245 0.245 0.251
0.410 0.082 0.748
0.590 0.918 0.252
0.755 0.755 0.749
0.918 0.590 0.252
0.167 0.833 0.000
0.500 0.500 0.000
0.833 0.167 0.000
0.334 0.666 0.500
0.666 0.334 0.500
0.000 0.000 0.500
```

Main lines, in order of falling intensity (2θ = 15–90°):
d/Å	intensity
2.875	100
2.490	50
1.502	42
1.761	36
1.142	14
1.114	14
1.438	12
1.245	6
1.143	3
1.113	3